1.
Starting from a cell relaxed with GGA-PBE, the powder X-ray diffraction pattern of Ho4Sn8Rh was calculated for Cu Kα X-rays.
Lines closer than 0.1° are merged.

Structural model:
```
data_Ho4Sn8Rh
_chemical_formula_sum 'Ho4 Sn8 Rh1'
_space_group_name_H-M_alt 'P m m 2'
_space_group_IT_number 25
_cell_length_a 4.4055
_cell_length_b 4.4370
_cell_length_c 16.8236
_cell_angle_alpha 90.00
_cell_angle_beta 90.00
_cell_angle_gamma 90.00
loop_
_space_group_symop_operation_xyz
'x,y,z'
'-x,-y,z'
'-x,y,z'
'x,-y,z'
loop_
_atom_site_label
_atom_site_type_symbol
_atom_site_fract_x
_atom_site_fract_y
_atom_site_fract_z
Ho1 Ho 0.0000 0.0000 0.0000
Ho2 Ho 0.0000 0.5000 0.4843
Ho3 Ho 0.5000 0.0000 0.7849
Ho4 Ho 0.5000 0.5000 0.2917
Sn1 Sn 0.0000 0.0000 0.3228
Sn2 Sn 0.0000 0.0000 0.6214
Sn3 Sn 0.0000 0.5000 0.1449
Sn4 Sn 0.0000 0.5000 0.8566
Sn5 Sn 0.5000 0.0000 0.1475
Sn6 Sn 0.5000 0.0000 0.4468
Sn7 Sn 0.5000 0.5000 0.6205
Sn8 Sn 0.5000 0.5000 0.9734
Rh1 Rh 0.0000 0.5000 0.7048
```

Largest 10 diffraction maxima, in order of rising 2θ, 2θ from 5° to 70°:
| Position (°2θ) | I/Imax |
| --- | --- |
| 31.9 | 15 |
| 32.8 | 100 |
| 33.4 | 10 |
| 38.0 | 10 |
| 40.7 | 20 |
| 41.0 | 19 |
| 52.6 | 7 |
| 59.1 | 13 |
| 69.0 | 12 |
| 69.5 | 13 |

***

2.
Starting from a cell relaxed with GGA-PBE, the powder X-ray diffraction pattern of Ho3Sn2Rh6 was calculated for Cu Kα X-rays.
Lines closer than 0.1° are merged.

Structural model:
```
data_Ho3Sn2Rh6
_chemical_formula_sum 'Ho12 Sn8 Rh24'
_space_group_name_H-M_alt 'I m -3 m'
_space_group_IT_number 229
_space_group_name_Hall '-I 4 2 3'
_cell_length_a 9.5051
_cell_length_b 9.5051
_cell_length_c 9.5051
_cell_angle_alpha 90.00
_cell_angle_beta 90.00
_cell_angle_gamma 90.00
loop_
_atom_site_label
_atom_site_type_symbol
_atom_site_fract_x
_atom_site_fract_y
_atom_site_fract_z
Ho1 Ho 0.0000 0.0000 0.2942
Sn1 Sn 0.2500 0.2500 0.2500
Rh1 Rh 0.0000 0.3489 0.3489
```

Largest 10 diffraction maxima, in order of rising 2θ, 2θ from 5° to 70°:
| Position (°2θ) | I/Imax |
| --- | --- |
| 13.2 | 15 |
| 29.7 | 16 |
| 32.6 | 37 |
| 35.3 | 22 |
| 37.9 | 14 |
| 40.3 | 100 |
| 42.5 | 16 |
| 52.7 | 14 |
| 65.1 | 16 |
| 68.4 | 9 |

***

3.
Starting from a cell relaxed with GGA-PBE, the powder X-ray diffraction pattern of HoSn3Rh3 was calculated for Cu Kα X-rays.
Lines closer than 0.1° are merged.

Structural model:
```
data_HoSn3Rh3
_chemical_formula_sum 'Ho2 Sn6 Rh6'
_space_group_name_H-M_alt 'P m -3 n'
_space_group_IT_number 223
_space_group_name_Hall '-P 4n 2 3'
_cell_length_a 7.1434
_cell_length_b 7.1434
_cell_length_c 7.1434
_cell_angle_alpha 90.00
_cell_angle_beta 90.00
_cell_angle_gamma 90.00
loop_
_atom_site_label
_atom_site_type_symbol
_atom_site_fract_x
_atom_site_fract_y
_atom_site_fract_z
Ho1 Ho 0.0000 0.0000 0.0000
Sn1 Sn 0.0000 0.2500 0.5000
Rh1 Rh 0.0000 0.5000 0.2500
```

Largest 10 diffraction maxima, in order of rising 2θ, 2θ from 5° to 70°:
| Position (°2θ) | I/Imax |
| --- | --- |
| 17.6 | 6 |
| 24.9 | 42 |
| 30.7 | 100 |
| 35.5 | 1 |
| 39.9 | 1 |
| 43.9 | 22 |
| 47.6 | 59 |
| 51.1 | 28 |
| 57.7 | 17 |
| 60.8 | 14 |

***

4.
Starting from a cell relaxed with GGA-PBE, the powder X-ray diffraction pattern of Ho4SnRh5 was calculated for Cu Kα X-rays.
Lines closer than 0.1° are merged.

Structural model:
```
data_Ho4SnRh5
_chemical_formula_sum 'Ho8 Sn2 Rh10'
_space_group_name_H-M_alt 'I 4'
_space_group_IT_number 79
_cell_length_a 8.6325
_cell_length_b 8.6325
_cell_length_c 5.5701
_cell_angle_alpha 90.00
_cell_angle_beta 90.00
_cell_angle_gamma 90.00
loop_
_space_group_symop_operation_xyz
'x,y,z'
'-y,x,z'
'-x,-y,z'
'y,-x,z'
'x+1/2,y+1/2,z+1/2'
'-y+1/2,x+1/2,z+1/2'
'-x+1/2,-y+1/2,z+1/2'
'y+1/2,-x+1/2,z+1/2'
loop_
_atom_site_label
_atom_site_type_symbol
_atom_site_fract_x
_atom_site_fract_y
_atom_site_fract_z
Ho1 Ho 0.0815 0.6920 0.0000
Sn1 Sn 0.0000 0.0000 0.6978
Rh1 Rh 0.0000 0.0000 0.1716
Rh2 Rh 0.1007 0.7431 0.4914
```

Largest 10 diffraction maxima, in order of rising 2θ, 2θ from 5° to 70°:
| Position (°2θ) | I/Imax |
| --- | --- |
| 28.1 | 13 |
| 32.1 | 30 |
| 32.8 | 100 |
| 35.1 | 14 |
| 35.4 | 18 |
| 38.5 | 15 |
| 44.0 | 19 |
| 46.6 | 53 |
| 47.1 | 30 |
| 58.1 | 17 |

***

5.
Starting from a cell relaxed with GGA-PBE, the powder X-ray diffraction pattern of Ho5Sn18Rh6 was calculated for Cu Kα X-rays.
Lines closer than 0.1° are merged.

Structural model:
```
data_Ho5Sn18Rh6
_chemical_formula_sum 'Ho20 Sn72 Rh24'
_space_group_name_H-M_alt 'F -4 3 m'
_space_group_IT_number 216
_space_group_name_Hall 'F -4 2 3'
_cell_length_a 13.9789
_cell_length_b 13.9789
_cell_length_c 13.9789
_cell_angle_alpha 90.00
_cell_angle_beta 90.00
_cell_angle_gamma 90.00
loop_
_atom_site_label
_atom_site_type_symbol
_atom_site_fract_x
_atom_site_fract_y
_atom_site_fract_z
Ho1 Ho 0.0000 0.0000 0.0000
Ho2 Ho 0.1302 0.1302 0.3698
Sn1 Sn 0.0102 0.1749 0.8251
Sn2 Sn 0.0866 0.0866 0.5866
Sn3 Sn 0.2500 0.2500 0.2500
Sn4 Sn 0.2500 0.2500 0.7500
Rh1 Rh 0.0000 0.0000 0.2554
```

Largest 10 diffraction maxima, in order of rising 2θ, 2θ from 5° to 70°:
| Position (°2θ) | I/Imax |
| --- | --- |
| 31.3 | 18 |
| 33.3 | 100 |
| 36.4 | 40 |
| 38.1 | 17 |
| 38.6 | 17 |
| 42.9 | 33 |
| 55.8 | 30 |
| 57.1 | 9 |
| 65.4 | 21 |
| 66.6 | 14 |

***

6.
Starting from a cell relaxed with GGA-PBE, the powder X-ray diffraction pattern of HoTm2SnRh4 was calculated for Cu Kα X-rays.
Lines closer than 0.1° are merged.

Structural model:
```
data_HoTm2SnRh4
_chemical_formula_sum 'Ho3 Tm6 Sn3 Rh12'
_space_group_name_H-M_alt 'R -3 m'
_space_group_IT_number 166
_space_group_name_Hall '-R 3 2"'
_cell_length_a 4.7314
_cell_length_b 4.7314
_cell_length_c 23.2213
_cell_angle_alpha 90.00
_cell_angle_beta 90.00
_cell_angle_gamma 120.00
loop_
_atom_site_label
_atom_site_type_symbol
_atom_site_fract_x
_atom_site_fract_y
_atom_site_fract_z
Ho1 Ho 0.0000 0.0000 0.0000
Tm1 Tm 0.0000 0.0000 0.2462
Sn1 Sn 0.0000 0.0000 0.5000
Rh1 Rh 0.0000 0.0000 0.1247
Rh2 Rh 0.0000 0.0000 0.3768
```

Largest 9 diffraction maxima, in order of rising 2θ, 2θ from 5° to 70°:
| Position (°2θ) | I/Imax |
| --- | --- |
| 23.0 | 1 |
| 26.6 | 4 |
| 29.1 | 1 |
| 38.0 | 100 |
| 47.0 | 1 |
| 54.8 | 17 |
| 62.0 | 2 |
| 68.7 | 26 |
| 68.7 | 9 |

***

7.
Starting from a cell relaxed with GGA-PBE, the powder X-ray diffraction pattern of Ho2Ta2ZnRh5 was calculated for Cu Kα X-rays.
Lines closer than 0.1° are merged.

Structural model:
```
data_Ho2Ta2ZnRh5
_chemical_formula_sum 'Ho4 Ta4 Zn2 Rh10'
_space_group_name_H-M_alt 'P 4/m b m'
_space_group_IT_number 127
_space_group_name_Hall '-P 4 2ab'
_cell_length_a 10.7040
_cell_length_b 10.7040
_cell_length_c 3.1544
_cell_angle_alpha 90.00
_cell_angle_beta 90.00
_cell_angle_gamma 90.00
loop_
_atom_site_label
_atom_site_type_symbol
_atom_site_fract_x
_atom_site_fract_y
_atom_site_fract_z
Ho1 Ho 0.1668 0.3332 0.0000
Ta1 Ta 0.1407 0.6407 0.0000
Zn1 Zn 0.0000 0.0000 0.0000
Rh1 Rh 0.0000 0.5000 0.5000
Rh2 Rh 0.0576 0.8101 0.5000
```

Largest 10 diffraction maxima, in order of rising 2θ, 2θ from 5° to 70°:
| Position (°2θ) | I/Imax |
| --- | --- |
| 11.7 | 12 |
| 33.0 | 13 |
| 34.5 | 25 |
| 35.6 | 46 |
| 37.6 | 12 |
| 39.0 | 100 |
| 41.8 | 22 |
| 44.4 | 24 |
| 51.2 | 13 |
| 58.5 | 13 |

***

8.
Starting from a cell relaxed with GGA-PBE, the powder X-ray diffraction pattern of Tb3HoRh was calculated for Cu Kα X-rays.
Lines closer than 0.1° are merged.

Structural model:
```
data_Tb3HoRh
_chemical_formula_sum 'Tb6 Ho2 Rh2'
_space_group_name_H-M_alt 'P m n 21'
_space_group_IT_number 31
_cell_length_a 7.5766
_cell_length_b 6.5124
_cell_length_c 6.1504
_cell_angle_alpha 90.00
_cell_angle_beta 90.00
_cell_angle_gamma 90.00
loop_
_space_group_symop_operation_xyz
'x,y,z'
'-x+1/2,-y,z+1/2'
'-x,y,z'
'x+1/2,-y,z+1/2'
loop_
_atom_site_label
_atom_site_type_symbol
_atom_site_fract_x
_atom_site_fract_y
_atom_site_fract_z
Tb1 Tb 0.0000 0.1508 0.0000
Tb2 Tb 0.2494 0.3123 0.5064
Ho1 Ho 0.0000 0.8475 0.5141
Rh1 Rh 0.0000 0.5021 0.2571
```

Largest 10 diffraction maxima, in order of rising 2θ, 2θ from 5° to 70°:
| Position (°2θ) | I/Imax |
| --- | --- |
| 29.0 | 27 |
| 30.9 | 100 |
| 31.1 | 45 |
| 40.2 | 27 |
| 40.3 | 15 |
| 48.0 | 14 |
| 48.3 | 24 |
| 52.7 | 33 |
| 57.4 | 14 |
| 58.3 | 15 |

***

9.
Starting from a cell relaxed with GGA-PBE, the powder X-ray diffraction pattern of Tb3Ho3Rh2 was calculated for Cu Kα X-rays.
Lines closer than 0.1° are merged.

Structural model:
```
data_Tb3Ho3Rh2
_chemical_formula_sum 'Tb12 Ho12 Rh8'
_space_group_name_H-M_alt 'C m c m'
_space_group_IT_number 63
_space_group_name_Hall '-C 2c 2'
_cell_length_a 3.7923
_cell_length_b 13.0913
_cell_length_c 17.9735
_cell_angle_alpha 90.00
_cell_angle_beta 90.00
_cell_angle_gamma 90.00
loop_
_atom_site_label
_atom_site_type_symbol
_atom_site_fract_x
_atom_site_fract_y
_atom_site_fract_z
Tb1 Tb 0.0000 0.0589 0.0898
Tb2 Tb 0.0000 0.2764 0.2500
Ho1 Ho 0.0000 0.3279 0.0590
Ho2 Ho 0.0000 0.4500 0.7500
Rh1 Rh 0.0000 0.2969 0.6358
```

Largest 10 diffraction maxima, in order of rising 2θ, 2θ from 5° to 70°:
| Position (°2θ) | I/Imax |
| --- | --- |
| 27.7 | 37 |
| 29.8 | 58 |
| 31.2 | 69 |
| 31.6 | 38 |
| 32.8 | 34 |
| 34.7 | 100 |
| 35.1 | 99 |
| 37.2 | 92 |
| 48.0 | 39 |
| 62.2 | 41 |

***

10.
Starting from a cell relaxed with GGA-PBE, the powder X-ray diffraction pattern of HoTh2Rh was calculated for Cu Kα X-rays.
Lines closer than 0.1° are merged.

Structural model:
```
data_HoTh2Rh
_chemical_formula_sum 'Ho4 Th8 Rh4'
_space_group_name_H-M_alt 'P n m a'
_space_group_IT_number 62
_cell_length_a 7.1091
_cell_length_b 10.0900
_cell_length_c 6.2227
_cell_angle_alpha 90.00
_cell_angle_beta 90.00
_cell_angle_gamma 90.00
loop_
_space_group_symop_operation_xyz
'x,y,z'
'-x,-y,-z'
'-x+1/2,-y,z+1/2'
'x+1/2,y,-z+1/2'
'x+1/2,-y+1/2,-z+1/2'
'-x+1/2,y+1/2,z+1/2'
'-x,y+1/2,-z'
'x,-y+1/2,z'
loop_
_atom_site_label
_atom_site_type_symbol
_atom_site_fract_x
_atom_site_fract_y
_atom_site_fract_z
Ho1 Ho 0.0405 0.2500 0.1553
Th1 Th 0.1795 0.0592 0.6555
Rh1 Rh 0.1143 0.7500 0.3898
```

Largest 10 diffraction maxima, in order of rising 2θ, 2θ from 5° to 70°:
| Position (°2θ) | I/Imax |
| --- | --- |
| 30.2 | 100 |
| 30.8 | 54 |
| 31.4 | 46 |
| 32.6 | 59 |
| 32.8 | 54 |
| 34.1 | 74 |
| 36.2 | 50 |
| 36.8 | 29 |
| 53.5 | 33 |
| 55.9 | 51 |

***

11.
Starting from a cell relaxed with GGA-PBE, the powder X-ray diffraction pattern of HoThRh was calculated for Cu Kα X-rays.
Lines closer than 0.1° are merged.

Structural model:
```
data_HoThRh
_chemical_formula_sum 'Ho4 Th4 Rh4'
_space_group_name_H-M_alt 'P 1 21/c 1'
_space_group_IT_number 14
_cell_length_a 6.0625
_cell_length_b 7.3900
_cell_length_c 7.1580
_cell_angle_alpha 90.00
_cell_angle_beta 90.23
_cell_angle_gamma 90.00
loop_
_space_group_symop_operation_xyz
'x,y,z'
'-x,-y,-z'
'-x,y+1/2,-z+1/2'
'x,-y+1/2,z+1/2'
loop_
_atom_site_label
_atom_site_type_symbol
_atom_site_fract_x
_atom_site_fract_y
_atom_site_fract_z
Ho1 Ho 0.1111 0.1074 0.2519
Th1 Th 0.4025 0.7505 0.9998
Rh1 Rh 0.3216 0.0495 0.7481
```

Largest 10 diffraction maxima, in order of rising 2θ, 2θ from 5° to 70°:
| Position (°2θ) | I/Imax |
| --- | --- |
| 28.3 | 39 |
| 28.9 | 43 |
| 29.0 | 42 |
| 31.0 | 46 |
| 31.5 | 100 |
| 31.9 | 78 |
| 34.3 | 67 |
| 34.9 | 91 |
| 38.0 | 45 |
| 39.5 | 49 |

***

12.
Starting from a cell relaxed with GGA-PBE, the powder X-ray diffraction pattern of Ho2ThRh was calculated for Cu Kα X-rays.
Lines closer than 0.1° are merged.

Structural model:
```
data_Ho2ThRh
_chemical_formula_sum 'Ho8 Th4 Rh4'
_space_group_name_H-M_alt 'P n m a'
_space_group_IT_number 62
_cell_length_a 7.0902
_cell_length_b 9.6669
_cell_length_c 6.3954
_cell_angle_alpha 90.00
_cell_angle_beta 90.00
_cell_angle_gamma 90.00
loop_
_space_group_symop_operation_xyz
'x,y,z'
'-x,-y,-z'
'-x+1/2,-y,z+1/2'
'x+1/2,y,-z+1/2'
'x+1/2,-y+1/2,-z+1/2'
'-x+1/2,y+1/2,z+1/2'
'-x,y+1/2,-z'
'x,-y+1/2,z'
loop_
_atom_site_label
_atom_site_type_symbol
_atom_site_fract_x
_atom_site_fract_y
_atom_site_fract_z
Ho1 Ho 0.1778 0.0654 0.1663
Th1 Th 0.0375 0.2500 0.6530
Rh1 Rh 0.1270 0.7500 0.9463
```

Largest 10 diffraction maxima, in order of rising 2θ, 2θ from 5° to 70°:
| Position (°2θ) | I/Imax |
| --- | --- |
| 30.3 | 68 |
| 30.7 | 40 |
| 31.1 | 100 |
| 31.3 | 64 |
| 32.1 | 97 |
| 33.6 | 61 |
| 34.4 | 65 |
| 48.4 | 42 |
| 56.2 | 31 |
| 57.2 | 46 |